The following is a calculated XRD peak list of Li2Co3SbO8. It was derived from a cell relaxed with PBE+U, using copper Kα.
Lines closer than 0.1° are merged.

Atomic structure:
```
data_Li2Co3SbO8
_cell_length_a 8.260
_cell_length_b 8.260
_cell_length_c 8.260
_cell_angle_alpha 90.00
_cell_angle_beta 90.00
_cell_angle_gamma 90.00
_symmetry_space_group_name_H-M 'P 43 3 2'
_symmetry_Int_Tables_number 212
_symmetry_space_group_name_Hall 'P 4acd 2ab 3'
loop_
_atom_site_label
_atom_site_fract_x
_atom_site_fract_y
_atom_site_fract_z
Li1 0.005 0.495 0.505
Co1 0.119 0.131 0.625
Sb1 0.125 0.875 0.375
O1 0.107 0.119 0.390
O2 0.111 0.611 0.889
```

Top 8 peaks for 5 to 70 degrees two-theta, in order of rising 2θ:
hkl	Position (°2θ)	d/Å	Rel. int.
1 1 1	18.6	4.769	100.0
3 1 1	36.1	2.491	49.8
2 2 2	37.7	2.385	19.9
4 0 0	43.8	2.065	50.0
3 3 1	48.0	1.895	13.3
5 1 1	58.0	1.590	19.8
4 4 0	63.7	1.460	30.3
5 3 1	67.0	1.396	15.1